Computed PXRD pattern
Compound: HoB6Ir12
Radiation: λ = 1.5418 Å (Cu Kα)
Structure: a crystal structure in Alexandria, relaxed with GGA-PBE
No peak broadening, texture or thermal motion is included.

Principal peaks in the range 15 to 90 degrees two-theta, most intense first:
(hkl)  d/Å  two_theta  Rel. int.
1 3 1  2.372  37.94  100
1 1 3  2.396  37.53  59
3 0 3  2.003  45.27  58
2 0 2  3.005  29.73  29
3 0 0  2.980  29.98  28
3 3 0  1.721  53.23  23
5 0 2  1.636  56.21  23
7 0 1  1.262  75.32  20
3 1 2  2.116  42.73  19
0 4 2  1.958  46.37  18
4 4 3  1.165  82.88  16
2 2 0  2.581  34.76  15

```
data_HoB6Ir12
_chemical_formula_sum 'Ho3 B18 Ir36'
_space_group_name_H-M_alt 'R -3 m'
_space_group_IT_number 166
_space_group_name_Hall '-R 3 2"'
_cell_length_a 10.3244
_cell_length_b 10.3244
_cell_length_c 8.1171
_cell_angle_alpha 90.00
_cell_angle_beta 90.00
_cell_angle_gamma 120.00
loop_
_atom_site_label
_atom_site_type_symbol
_atom_site_fract_x
_atom_site_fract_y
_atom_site_fract_z
Ho1 Ho 0.0000 0.0000 0.0000
B1 B 0.0421 0.5211 0.2903
Ir1 Ir 0.0000 0.3647 0.5000
Ir2 Ir 0.0867 0.1734 0.3577
```